Diffraction record for PrAl5CuNi. The powder X-ray diffraction pattern is simulated, not measured: it uses a structure optimized by DFT (PBE) and CuKα.
Lines closer than 0.1° are merged.

Structure:
Lattice parameters (Å, degrees): 6.3280 6.3280 6.3280 143.10 111.29 80.63
Positions (direct):
Pr 0.0000 0.0000 0.0000
Al 0.1586 0.3425 0.8160
Al 0.4602 0.6537 0.8065
Al 0.4992 0.9992 0.5000
Al 0.5265 0.3425 0.1840
Al 0.8472 0.6537 0.1935
Cu 0.7456 0.2456 0.5000
Ni 0.2602 0.7602 0.5000

Principal peaks in the range 5 to 70 degrees two-theta, in order of falling intensity:
| 2θ/deg | I_rel |
| --- | --- |
| 31.62 | 100 |
| 45.33 | 70 |
| 34.92 | 67 |
| 48.31 | 45 |
| 35.80 | 43 |
| 24.93 | 43 |
| 15.44 | 35 |
| 30.48 | 30 |
| 66.03 | 27 |
| 24.06 | 24 |

***

Diffraction record for DyY2Fe6Co2Ni. The powder X-ray diffraction pattern is simulated, not measured: it uses a structure optimized by DFT (PBE) and CuKα.
Lines closer than 0.1° are merged.

Structure:
Lattice parameters (Å, degrees): 8.6784 8.6784 8.6784 33.72 33.72 33.72
Positions (direct):
Dy 0.0000 0.0000 0.0000
Y 0.1419 0.1419 0.1419
Y 0.8581 0.8581 0.8581
Fe 0.0799 0.5815 0.5815
Fe 0.4185 0.4185 0.9201
Fe 0.4185 0.9201 0.4185
Fe 0.5815 0.0799 0.5815
Fe 0.5815 0.5815 0.0799
Fe 0.9201 0.4185 0.4185
Co 0.3326 0.3326 0.3326
Co 0.6674 0.6674 0.6674
Ni 0.5000 0.5000 0.5000

Principal peaks in the range 5 to 70 degrees two-theta, in order of falling intensity:
| 2θ/deg | I_rel |
| --- | --- |
| 42.15 | 100 |
| 35.67 | 36 |
| 32.79 | 30 |
| 41.59 | 29 |
| 35.80 | 26 |
| 68.52 | 19 |
| 44.31 | 16 |
| 64.12 | 15 |
| 45.53 | 10 |
| 68.73 | 10 |

***

Diffraction record for Er2MgCu2. The powder X-ray diffraction pattern is simulated, not measured: it uses a structure optimized by DFT (PBE) and CuKα.
Lines closer than 0.1° are merged.

Structure:
Lattice parameters (Å, degrees): 7.5470 7.5470 3.6830 90.00 90.00 90.00
Positions (direct):
Er 0.1687 0.3313 0.0000
Er 0.3313 0.8313 0.0000
Er 0.6687 0.1687 0.0000
Er 0.8313 0.6687 0.0000
Mg 0.0000 0.0000 0.5000
Mg 0.5000 0.5000 0.5000
Cu 0.1244 0.6244 0.5000
Cu 0.3756 0.1244 0.5000
Cu 0.6244 0.8756 0.5000
Cu 0.8756 0.3756 0.5000

Principal peaks in the range 5 to 70 degrees two-theta, in order of falling intensity:
| 2θ/deg | I_rel |
| --- | --- |
| 36.10 | 100 |
| 37.69 | 25 |
| 16.61 | 21 |
| 26.41 | 21 |
| 34.01 | 20 |
| 56.11 | 16 |
| 23.58 | 13 |
| 49.82 | 11 |
| 51.36 | 11 |
| 49.50 | 10 |

***

Diffraction record for Nb2Pd3S8. The powder X-ray diffraction pattern is simulated, not measured: it uses a structure optimized by DFT (PBE) and CuKα.
Lines closer than 0.1° are merged.

Structure:
Lattice parameters (Å, degrees): 10.5208 14.7151 3.4843 90.00 90.00 90.00
Positions (direct):
Nb 0.2058 0.1182 0.0000
Nb 0.2942 0.6182 0.0000
Nb 0.7058 0.3818 0.0000
Nb 0.7942 0.8818 0.0000
Pd 0.0000 0.0000 0.5000
Pd 0.1272 0.7210 0.5000
Pd 0.3728 0.2210 0.5000
Pd 0.5000 0.5000 0.5000
Pd 0.6272 0.7790 0.5000
Pd 0.8728 0.2790 0.5000
S 0.0407 0.1566 0.5000
S 0.0610 0.6222 0.0000
S 0.2243 0.9964 0.5000
S 0.2456 0.2819 0.0000
S 0.2544 0.7819 0.0000
S 0.2757 0.4964 0.5000
S 0.4390 0.1222 0.0000
S 0.4593 0.6566 0.5000
S 0.5407 0.3434 0.5000
S 0.5609 0.8778 0.0000
S 0.7243 0.5036 0.5000
S 0.7456 0.2181 0.0000
S 0.7544 0.7181 0.0000
S 0.7757 0.0036 0.5000
S 0.9390 0.3778 0.0000
S 0.9593 0.8434 0.5000

Principal peaks in the range 5 to 70 degrees two-theta, in order of falling intensity:
| 2θ/deg | I_rel |
| --- | --- |
| 14.69 | 100 |
| 10.34 | 50 |
| 35.49 | 44 |
| 44.90 | 29 |
| 31.39 | 26 |
| 46.07 | 25 |
| 24.82 | 24 |
| 52.54 | 24 |
| 17.91 | 21 |
| 36.87 | 21 |

***

Diffraction record for DyErLu2. The powder X-ray diffraction pattern is simulated, not measured: it uses a structure optimized by DFT (PBE) and CuKα.
Lines closer than 0.1° are merged.

Structure:
Lattice parameters (Å, degrees): 5.5230 7.0874 7.0874 60.00 90.00 90.00
Positions (direct):
Dy 0.0000 0.0000 0.0000
Dy 0.5000 0.3334 0.3334
Er 0.0000 0.5006 0.9991
Er 0.0000 0.9991 0.5006
Lu 0.0000 0.5005 0.5005
Lu 0.5000 0.3344 0.8329
Lu 0.5000 0.8329 0.3344
Lu 0.5000 0.8329 0.8329

Principal peaks in the range 5 to 70 degrees two-theta, in order of falling intensity:
| 2θ/deg | I_rel |
| --- | --- |
| 33.40 | 100 |
| 32.42 | 24 |
| 29.10 | 24 |
| 62.26 | 22 |
| 58.46 | 20 |
| 51.58 | 20 |
| 62.86 | 16 |
| 44.12 | 16 |
| 60.32 | 3 |
| 67.88 | 3 |